No. 1
Structure and computed XRD peak list of Li2MnVP2O8F2 (the PBE+U geometry in the Materials Project; Cu Ka).
No peak broadening, texture or thermal motion is included.

```
48
Lattice="5.3491 0.0000 0.0000 -2.4314 7.0135 0.0000 -0.7406 -1.8364 14.5748" Properties=species:S:1:pos:R:3 pbc="T T T"
Li 0.0000 0.0000 0.0000
Li -1.6749 5.8152 4.0570
Li 0.7313 1.7294 4.8600
Li 1.4865 0.5312 8.9284
Li 1.4543 3.4433 9.7167
Li 2.1957 2.2666 13.8083
Mn -0.8304 2.9136 2.0081
Mn -0.4866 3.7052 14.2006
Mn -0.1123 4.6332 6.9012
V -1.1996 1.9718 9.3387
V 3.4154 0.2662 4.4552
V 3.0541 -0.6470 11.7566
P -0.3144 -0.4583 7.1810
P -2.1077 4.4296 11.4842
P 0.4189 1.3009 12.0366
P 1.7976 0.9793 1.7544
P 1.8848 4.8305 2.3120
P 2.5250 2.6998 6.6146
O -2.0601 3.0868 10.6822
O -1.6712 3.6174 6.2210
O -0.3109 -0.1275 5.6504
O -2.1466 4.1230 13.0054
O -0.7417 0.3802 12.4193
O -0.3691 0.8950 7.9795
O 0.4041 1.5393 1.3333
O -1.3609 6.0131 7.6286
O -0.6133 6.6478 0.9769
O -0.9480 5.3494 11.0844
O 0.4258 1.5967 10.4920
O 0.7154 3.9235 2.7072
O 1.7971 0.6649 3.2973
O 0.3962 2.6493 12.7907
O 1.1418 3.2527 6.1796
O 1.7934 0.6912 12.4620
O 2.5839 1.3489 5.8186
O 2.9603 1.8881 1.3596
O 1.9125 5.1721 0.7888
O 2.5232 2.3624 8.1517
O 1.4438 5.6501 7.5898
O 1.8104 6.1785 3.1204
O 1.8638 5.0256 11.0297
O 3.2624 4.2728 2.7700
F -0.9171 1.8105 3.9082
F -0.8381 3.8990 0.1896
F -0.1855 3.5372 8.7668
F -0.0374 5.7384 5.0305
F 3.0452 -1.5748 13.4547
F 3.1002 0.3826 10.0176
```

Peak list (8 most intense, 2θ = 5–70°, sorted by position)
hkl 1 -1 0, 17.96 deg, I 28.1
hkl 0 0 3, 18.26 deg, I 32.5
hkl 0 1 2, 18.70 deg, I 50.5
hkl 0 1 -4, 26.15 deg, I 79.0
hkl 1 1 -2, 26.50 deg, I 100.0
hkl -1 2 2, 29.31 deg, I 76.9
hkl 2 -1 2, 36.37 deg, I 27.4
hkl 0 4 2, 55.85 deg, I 24.8

***

No. 2
Structure and computed XRD peak list of Li2MnVP2O8F2 (the PBE+U geometry in the Materials Project; Cu Ka).
No peak broadening, texture or thermal motion is included.

```
48
Lattice="5.2384 0.0000 0.0000 1.7461 10.2043 0.0000 1.1284 1.8905 10.2925" Properties=species:S:1:pos:R:3 pbc="T T T"
Li 1.0112 4.7465 2.4103
Li 2.9020 2.5746 9.2433
Li 2.7016 3.3789 4.4740
Li 5.4113 8.7159 5.8185
Li 5.2109 9.5202 1.0492
Li 7.1017 7.3482 7.8822
Mn 1.4372 6.0474 5.1463
Mn 2.6966 9.1330 3.4455
Mn 5.4163 2.9617 6.8470
V 2.2473 2.0265 1.7026
V 3.4923 5.1021 0.0000
V 5.8656 10.0683 8.5899
P 2.2075 8.1830 0.3573
P 3.1676 10.0865 6.5289
P 4.1013 6.0141 7.1784
P 4.0116 6.0806 3.1141
P 4.9453 2.0082 3.7636
P 5.9054 3.9117 9.9353
O 1.7783 8.7606 1.7435
O 1.0372 2.6733 3.2785
O 0.7117 1.5504 0.5411
O 1.3392 1.4165 6.5199
O 2.2976 6.6505 0.3729
O 2.9432 6.5271 6.2536
O 2.6863 5.3942 3.5619
O 3.6149 9.5159 5.1422
O 3.6614 6.5696 8.5624
O 4.6676 10.7290 10.1592
O 4.3357 9.5958 7.4273
O 3.9147 7.6132 3.1093
O 4.1982 4.4816 7.1833
O 3.7772 2.4989 2.8652
O 3.4453 1.3657 0.1334
O 4.4515 5.5251 1.7301
O 4.4980 2.5788 5.1503
O 5.4266 6.7005 6.7306
O 5.1697 5.5677 4.0389
O 5.8153 5.4443 9.9196
O 6.7737 10.6782 3.7727
O 7.4012 10.5444 9.7514
O 7.0757 9.4214 7.0141
O 6.3346 3.3341 8.5490
F 1.5670 4.1505 5.7824
F 2.1581 3.9302 1.0680
F 4.0951 10.3649 2.3408
F 4.0178 1.7299 7.9518
F 5.9548 8.1645 9.2246
F 6.5459 7.9442 4.5102
```

Peak list (8 most intense, 2θ = 5–70°, sorted by position)
hkl 0 1 2, 17.89 deg, I 26.2
hkl 1 1 0, 18.15 deg, I 44.5
hkl 1 0 1, 18.67 deg, I 52.1
hkl 1 0 -2, 25.39 deg, I 23.3
hkl 1 2 -1, 25.98 deg, I 64.2
hkl 0 3 0, 26.64 deg, I 100.0
hkl 1 1 3, 29.29 deg, I 77.6
hkl -1 2 3, 36.13 deg, I 38.4

***

No. 3
Structure and computed XRD peak list of Li3MnVP2O8F2 (the PBE+U geometry in the Materials Project; Cu Ka).
No peak broadening, texture or thermal motion is included.

```
17
Lattice="5.2791 0.0000 0.0000 -0.6377 5.3987 0.0000 -2.2353 -2.4516 6.6652" Properties=species:S:1:pos:R:3 pbc="T T T"
Li 0.0000 0.0000 0.0000
Li 0.1164 1.5255 2.3903
Li 2.0306 1.7849 4.3502
Mn 2.5843 0.2437 0.1040
V 1.4172 -1.0247 3.4278
P -1.1610 0.3216 5.0217
P 3.3596 3.0417 1.8437
O -0.7819 3.2599 2.9103
O -1.5379 1.6751 5.6741
O -1.0757 -0.8397 6.0141
O 0.1998 0.4640 4.2194
O 1.9892 2.9054 2.6226
O 3.2932 4.1922 0.8378
O 3.7358 1.6906 1.2014
O 2.9740 0.0973 3.9600
F 1.1397 0.0535 1.7081
F 1.0928 3.2632 5.1268
```

Peak list (8 most intense, 2θ = 5–70°, sorted by position)
hkl 0 1 0, 17.50 deg, I 22.6
hkl 1 0 0, 18.08 deg, I 16.1
hkl 0 1 1, 25.49 deg, I 13.3
hkl -1 1 1, 25.80 deg, I 18.3
hkl 1 -1 1, 26.11 deg, I 25.4
hkl 0 1 -2, 26.48 deg, I 100.0
hkl 1 1 0, 28.01 deg, I 61.7
hkl 1 -2 0, 36.06 deg, I 16.3

***

No. 4
Structure and computed XRD peak list of Li2MnVP2O8F2 (the PBE+U geometry in the Materials Project; Cu Ka).
No peak broadening, texture or thermal motion is included.

```
48
Lattice="5.1981 0.0000 0.0000 1.7182 10.3370 0.0000 1.3299 1.9453 10.2395" Properties=species:S:1:pos:R:3 pbc="T T T"
Li 0.0000 0.0000 0.0000
Li 2.0659 9.5942 4.7521
Li 2.7641 5.4718 1.3443
Li 3.7670 8.1955 6.8400
Li 4.8120 3.3543 8.1572
Li 4.4772 4.0765 3.4345
Mn 2.5577 10.9249 7.4941
Mn 3.2656 6.8398 4.0916
Mn 6.5322 7.8038 9.2040
V 2.0503 3.7149 5.7965
V 4.4800 9.9744 2.3838
V 3.9728 2.7449 0.6831
P 1.4768 2.7328 2.7144
P 2.6043 4.7164 8.8841
P 5.2431 10.8899 9.5111
P 5.0754 10.9529 5.4848
P 5.9524 6.8194 6.1133
P 5.7748 6.8662 2.0630
O 1.0660 3.2925 4.1042
O 2.0864 7.4897 5.5912
O 1.7579 6.3583 2.9534
O 2.4977 6.2477 8.8740
O 1.5802 1.2086 2.7224
O 4.0715 11.3999 8.6139
O 3.7362 10.2827 5.9771
O 3.0230 4.1631 7.4932
O 3.5185 9.5232 0.6597
O 2.8049 3.4072 2.2272
O 3.7678 4.2127 9.7832
O 3.2600 2.1338 5.4644
O 5.3556 9.3620 9.5396
O 4.7722 7.3334 5.2244
O 4.4430 6.1946 2.5841
O 5.4645 10.3711 4.0960
O 5.5770 7.4220 7.5005
O 6.5743 11.5706 9.0132
O 6.2413 10.4384 6.3871
O 5.6766 8.3846 2.0393
O 6.0434 5.3039 6.1301
O 5.5136 3.2317 1.8120
O 6.4808 4.0339 9.3770
O 6.1494 6.2555 0.6787
F 2.7019 8.9552 8.1428
F 3.1691 8.8494 3.4142
F 3.3620 4.8295 4.7615
F 3.8534 4.6416 0.0595
F 4.0688 0.8036 1.3204
F 5.9378 2.6090 6.8321
```

Peak list (8 most intense, 2θ = 5–70°, sorted by position)
hkl 0 1 2, 17.89 deg, I 35.4
hkl 1 1 0, 18.31 deg, I 37.0
hkl 1 0 1, 18.66 deg, I 60.2
hkl 1 2 -1, 26.23 deg, I 77.2
hkl 0 3 0, 26.33 deg, I 100.0
hkl 1 1 3, 29.15 deg, I 100.0
hkl 1 1 -3, 34.80 deg, I 34.5
hkl 2 -2 4, 55.60 deg, I 31.8